Diffraction record for La2Y17. The X-ray diffraction stick pattern is simulated, not measured: it uses a crystal structure in Alexandria, relaxed with GGA-PBE and copper Kα.
Neutral-atom scattering factors, no anomalous dispersion.

Crystal structure
abc: 8.8263 8.8263 8.8263
angles: 80.91 80.91 80.91
Sites, in units of the cell vectors:
La1 0.1700 0.1700 0.1700
La2 0.8300 0.8300 0.8300
Y1 0.0000 0.5000 0.5000
Y2 0.1362 0.1362 0.6500
Y3 0.1362 0.6500 0.1362
Y4 0.2025 0.5000 0.7975
Y5 0.2025 0.7975 0.5000
Y6 0.3500 0.8638 0.8638
Y7 0.4011 0.4011 0.4011
Y8 0.5000 0.0000 0.5000
Y9 0.5000 0.2025 0.7975
Y10 0.5000 0.5000 0.0000
Y11 0.5000 0.7975 0.2025
Y12 0.5989 0.5989 0.5989
Y13 0.6500 0.1362 0.1362
Y14 0.7975 0.2025 0.5000
Y15 0.7975 0.5000 0.2025
Y16 0.8638 0.3500 0.8638
Y17 0.8638 0.8638 0.3500

Largest 12 diffraction maxima, low angle first, 10 to 90 degrees two-theta:
| 2θ/deg | Rel. int. |
| --- | --- |
| 21.7 | 12 |
| 27.0 | 35 |
| 27.1 | 29 |
| 30.6 | 29 |
| 31.1 | 96 |
| 31.2 | 100 |
| 34.9 | 46 |
| 47.6 | 12 |
| 50.3 | 17 |
| 54.7 | 21 |
| 55.6 | 37 |
| 74.0 | 12 |

***

Diffraction record for La3Y7. The X-ray diffraction stick pattern is simulated, not measured: it uses a crystal structure in Alexandria, relaxed with GGA-PBE and copper Kα.
Neutral-atom scattering factors, no anomalous dispersion.

Crystal structure
abc: 8.9512 8.9512 7.0836
angles: 101.61 101.61 37.52
Sites, in units of the cell vectors:
La1 0.0000 0.0000 0.0000
La2 0.2149 0.2149 0.8487
La3 0.7851 0.7851 0.1513
Y1 0.0000 0.0000 0.5000
Y2 0.2087 0.2087 0.3567
Y3 0.3978 0.3978 0.2011
Y4 0.4044 0.4044 0.6928
Y5 0.5956 0.5956 0.3072
Y6 0.6022 0.6022 0.7989
Y7 0.7913 0.7913 0.6433

Largest 12 diffraction maxima, low angle first, 10 to 90 degrees two-theta:
| 2θ/deg | Rel. int. |
| --- | --- |
| 29.9 | 12 |
| 30.0 | 15 |
| 31.1 | 100 |
| 31.5 | 37 |
| 31.6 | 32 |
| 43.7 | 20 |
| 51.6 | 9 |
| 55.3 | 12 |
| 55.5 | 12 |
| 56.6 | 8 |
| 61.5 | 18 |
| 61.6 | 9 |

***

Diffraction record for La2Y. The X-ray diffraction stick pattern is simulated, not measured: it uses a crystal structure in Alexandria, relaxed with GGA-PBE and copper Kα.
Neutral-atom scattering factors, no anomalous dispersion.

Crystal structure
abc: 3.6806 3.6806 9.0527
angles: 90.00 90.00 120.00
Sites, in units of the cell vectors:
La1 0.3333 0.6667 0.1714
La2 0.6667 0.3333 0.8286
Y1 0.0000 0.0000 0.5000

Largest 12 diffraction maxima, low angle first, 10 to 90 degrees two-theta:
| 2θ/deg | Rel. int. |
| --- | --- |
| 29.6 | 33 |
| 29.7 | 100 |
| 34.4 | 67 |
| 49.4 | 24 |
| 49.5 | 23 |
| 58.6 | 14 |
| 58.8 | 42 |
| 61.7 | 12 |
| 72.5 | 8 |
| 80.4 | 11 |
| 82.7 | 10 |
| 82.9 | 10 |

***

Diffraction record for LaY2Zn2. The X-ray diffraction stick pattern is simulated, not measured: it uses a crystal structure in Alexandria, relaxed with GGA-PBE and copper Kα.
Neutral-atom scattering factors, no anomalous dispersion.

Crystal structure
abc: 3.6634 5.3142 13.5886
angles: 90.00 97.75 90.00
Sites, in units of the cell vectors:
La1 0.1435 0.2500 0.2854
La2 0.8565 0.7500 0.7146
Y1 0.0469 0.7500 0.0940
Y2 0.2315 0.7500 0.4626
Y3 0.7685 0.2500 0.5374
Y4 0.9531 0.2500 0.9060
Zn1 0.3602 0.2500 0.7211
Zn2 0.4549 0.7500 0.9096
Zn3 0.5451 0.2500 0.0904
Zn4 0.6398 0.7500 0.2789

Largest 12 diffraction maxima, low angle first, 10 to 90 degrees two-theta:
| 2θ/deg | Rel. int. |
| --- | --- |
| 26.0 | 8 |
| 33.3 | 19 |
| 33.7 | 29 |
| 34.1 | 100 |
| 48.1 | 13 |
| 49.8 | 9 |
| 60.0 | 8 |
| 60.6 | 18 |
| 61.5 | 10 |
| 66.7 | 7 |
| 71.7 | 8 |
| 83.1 | 7 |

***

Diffraction record for La3Y2Zn2. The X-ray diffraction stick pattern is simulated, not measured: it uses a crystal structure in Alexandria, relaxed with GGA-PBE and copper Kα.
Neutral-atom scattering factors, no anomalous dispersion.

Crystal structure
abc: 15.6806 15.6806 3.6405
angles: 90.00 90.00 166.49
Sites, in units of the cell vectors:
La1 0.0000 0.0000 0.0000
La2 0.4128 0.5872 0.5000
La3 0.5872 0.4128 0.5000
Y1 0.2981 0.7019 0.5000
Y2 0.7019 0.2981 0.5000
Zn1 0.1502 0.8498 0.0000
Zn2 0.8498 0.1502 0.0000

Largest 12 diffraction maxima, low angle first, 10 to 90 degrees two-theta:
| 2θ/deg | Rel. int. |
| --- | --- |
| 28.7 | 21 |
| 30.0 | 64 |
| 31.5 | 100 |
| 33.7 | 33 |
| 34.7 | 97 |
| 38.0 | 21 |
| 47.6 | 19 |
| 49.4 | 19 |
| 50.1 | 18 |
| 58.9 | 19 |
| 60.4 | 30 |
| 62.0 | 16 |

***

Diffraction record for La2YZr. The X-ray diffraction stick pattern is simulated, not measured: it uses a crystal structure in Alexandria, relaxed with GGA-PBE and copper Kα.
Neutral-atom scattering factors, no anomalous dispersion.

Crystal structure
abc: 6.8286 6.8286 3.4192
angles: 103.55 103.55 119.23
Sites, in units of the cell vectors:
La1 0.0000 0.5000 0.0000
La2 0.5000 0.0000 0.0000
Y1 0.0000 0.0000 0.5000
Zr1 0.5000 0.5000 0.5000

Largest 12 diffraction maxima, low angle first, 10 to 90 degrees two-theta:
| 2θ/deg | Rel. int. |
| --- | --- |
| 15.0 | 9 |
| 30.4 | 100 |
| 33.0 | 80 |
| 33.2 | 79 |
| 43.5 | 37 |
| 51.3 | 11 |
| 55.6 | 36 |
| 55.8 | 18 |
| 56.0 | 17 |
| 60.8 | 13 |
| 69.2 | 9 |
| 89.0 | 10 |

***

Diffraction record for LaY14Zr. The X-ray diffraction stick pattern is simulated, not measured: it uses a crystal structure in Alexandria, relaxed with GGA-PBE and copper Kα.
Neutral-atom scattering factors, no anomalous dispersion.

Crystal structure
abc: 7.1309 7.1309 9.9938
angles: 90.00 90.00 90.04
Sites, in units of the cell vectors:
La1 0.0000 0.0000 0.0000
Y1 0.0000 0.0000 0.5000
Y2 0.0000 0.5000 0.0000
Y3 0.0000 0.5000 0.5000
Y4 0.2563 0.2563 0.2450
Y5 0.2563 0.2563 0.7550
Y6 0.2564 0.7436 0.2451
Y7 0.2564 0.7436 0.7549
Y8 0.5000 0.0000 0.0000
Y9 0.5000 0.0000 0.5000
Y10 0.5000 0.5000 0.5000
Y11 0.7436 0.2564 0.2451
Y12 0.7436 0.2564 0.7549
Y13 0.7437 0.7437 0.2450
Y14 0.7437 0.7437 0.7550
Zr1 0.5000 0.5000 0.0000

Largest 12 diffraction maxima, low angle first, 10 to 90 degrees two-theta:
| 2θ/deg | Rel. int. |
| --- | --- |
| 30.8 | 100 |
| 35.6 | 34 |
| 35.9 | 16 |
| 51.2 | 11 |
| 51.5 | 23 |
| 61.0 | 27 |
| 61.4 | 13 |
| 64.2 | 11 |
| 83.6 | 5 |
| 84.0 | 10 |
| 86.3 | 5 |
| 86.5 | 5 |

***

Diffraction record for LaYZr. The X-ray diffraction stick pattern is simulated, not measured: it uses a crystal structure in Alexandria, relaxed with GGA-PBE and copper Kα.
Neutral-atom scattering factors, no anomalous dispersion.

Crystal structure
abc: 5.4587 5.4587 6.8356
angles: 90.00 90.00 120.00
Sites, in units of the cell vectors:
La1 0.3333 0.6667 0.0000
La2 0.6667 0.3333 0.0000
Y1 0.0000 0.0000 0.2678
Y2 0.0000 0.0000 0.7322
Zr1 0.3333 0.6667 0.5000
Zr2 0.6667 0.3333 0.5000

Largest 12 diffraction maxima, low angle first, 10 to 90 degrees two-theta:
| 2θ/deg | Rel. int. |
| --- | --- |
| 26.1 | 12 |
| 32.3 | 84 |
| 32.8 | 100 |
| 42.4 | 19 |
| 46.7 | 29 |
| 53.6 | 8 |
| 58.3 | 30 |
| 58.6 | 18 |
| 64.3 | 26 |
| 68.8 | 11 |
| 78.1 | 13 |
| 83.4 | 13 |

***

Diffraction record for LaZn13. The X-ray diffraction stick pattern is simulated, not measured: it uses a crystal structure in Alexandria, relaxed with GGA-PBE and copper Kα.
Neutral-atom scattering factors, no anomalous dispersion.

Crystal structure
abc: 8.6375 8.6375 8.6375
angles: 60.00 60.00 60.00
Sites, in units of the cell vectors:
La1 0.2500 0.2500 0.2500
La2 0.7500 0.7500 0.7500
Zn1 0.0000 0.0000 0.0000
Zn2 0.0578 0.3006 0.6994
Zn3 0.0578 0.6994 0.9422
Zn4 0.0578 0.9422 0.3006
Zn5 0.1994 0.4422 0.8006
Zn6 0.1994 0.5578 0.4422
Zn7 0.1994 0.8006 0.5578
Zn8 0.3006 0.0578 0.9422
Zn9 0.3006 0.6994 0.0578
Zn10 0.3006 0.9422 0.6994
Zn11 0.4422 0.1994 0.5578
Zn12 0.4422 0.5578 0.8006
Zn13 0.4422 0.8006 0.1994
Zn14 0.5000 0.5000 0.5000
Zn15 0.5578 0.1994 0.8006
Zn16 0.5578 0.4422 0.1994
Zn17 0.5578 0.8006 0.4422
Zn18 0.6994 0.0578 0.3006
Zn19 0.6994 0.3006 0.9422
Zn20 0.6994 0.9422 0.0578
Zn21 0.8006 0.1994 0.4422
Zn22 0.8006 0.4422 0.5578
Zn23 0.8006 0.5578 0.1994
Zn24 0.9422 0.0578 0.6994
Zn25 0.9422 0.3006 0.0578
Zn26 0.9422 0.6994 0.3006

Largest 12 diffraction maxima, low angle first, 10 to 90 degrees two-theta:
| 2θ/deg | Rel. int. |
| --- | --- |
| 32.8 | 44 |
| 36.0 | 89 |
| 43.8 | 100 |
| 44.5 | 26 |
| 47.0 | 18 |
| 51.9 | 11 |
| 54.1 | 12 |
| 56.4 | 12 |
| 62.7 | 14 |
| 70.2 | 18 |
| 76.4 | 14 |
| 85.2 | 14 |

***

Diffraction record for LaZn11. The X-ray diffraction stick pattern is simulated, not measured: it uses a crystal structure in Alexandria, relaxed with GGA-PBE and copper Kα.
Neutral-atom scattering factors, no anomalous dispersion.

Crystal structure
abc: 8.2926 8.2926 8.2926
angles: 100.06 100.06 130.60
Sites, in units of the cell vectors:
La1 0.3750 0.6250 0.7500
La2 0.6250 0.3750 0.2500
Zn1 0.0000 0.0000 0.0000
Zn2 0.0000 0.0000 0.5000
Zn3 0.0000 0.5000 0.0000
Zn4 0.1250 0.8750 0.2500
Zn5 0.1340 0.5561 0.3341
Zn6 0.1340 0.7999 0.5779
Zn7 0.2001 0.2780 0.3341
Zn8 0.2001 0.8660 0.9221
Zn9 0.2780 0.2001 0.8341
Zn10 0.2780 0.4439 0.0779
Zn11 0.4439 0.2780 0.5779
Zn12 0.4439 0.8660 0.1659
Zn13 0.5000 0.0000 0.5000
Zn14 0.5561 0.1340 0.8341
Zn15 0.5561 0.7220 0.4221
Zn16 0.7220 0.5561 0.9221
Zn17 0.7220 0.7999 0.1659
Zn18 0.7999 0.1340 0.0779
Zn19 0.7999 0.7220 0.6659
Zn20 0.8660 0.2001 0.4221
Zn21 0.8660 0.4439 0.6659
Zn22 0.8750 0.1250 0.7500

Largest 12 diffraction maxima, low angle first, 10 to 90 degrees two-theta:
| 2θ/deg | Rel. int. |
| --- | --- |
| 33.0 | 37 |
| 37.2 | 100 |
| 37.8 | 70 |
| 39.9 | 32 |
| 42.8 | 15 |
| 43.5 | 17 |
| 44.5 | 56 |
| 46.2 | 31 |
| 47.8 | 12 |
| 56.9 | 17 |
| 67.8 | 29 |
| 80.7 | 14 |

***

Diffraction record for LaZn. The X-ray diffraction stick pattern is simulated, not measured: it uses a crystal structure in Alexandria, relaxed with GGA-PBE and copper Kα.
Neutral-atom scattering factors, no anomalous dispersion.

Crystal structure
abc: 6.2082 6.2082 6.2082
angles: 144.97 131.24 61.44
Sites, in units of the cell vectors:
La1 0.3579 0.1079 0.2500
La2 0.6421 0.8921 0.7500
Zn1 0.0862 0.3362 0.7500
Zn2 0.9138 0.6638 0.2500

Largest 12 diffraction maxima, low angle first, 10 to 90 degrees two-theta:
| 2θ/deg | Rel. int. |
| --- | --- |
| 25.3 | 14 |
| 30.6 | 24 |
| 33.6 | 18 |
| 34.1 | 100 |
| 35.0 | 26 |
| 48.7 | 10 |
| 49.2 | 12 |
| 49.3 | 12 |
| 60.4 | 13 |
| 61.4 | 10 |
| 61.8 | 12 |
| 62.2 | 17 |

***

Diffraction record for LaZn22. The X-ray diffraction stick pattern is simulated, not measured: it uses a crystal structure in Alexandria, relaxed with GGA-PBE and copper Kα.
Neutral-atom scattering factors, no anomalous dispersion.

Crystal structure
abc: 10.2002 10.2002 10.2002
angles: 60.00 60.00 60.00
Sites, in units of the cell vectors:
La1 0.1250 0.1250 0.1250
La2 0.8750 0.8750 0.8750
Zn1 0.0000 0.0000 0.0000
Zn2 0.0000 0.0000 0.5000
Zn3 0.0000 0.5000 0.0000
Zn4 0.0000 0.5000 0.5000
Zn5 0.0571 0.3230 0.3230
Zn6 0.0571 0.3230 0.7969
Zn7 0.0571 0.7969 0.3230
Zn8 0.2031 0.6770 0.6770
Zn9 0.2031 0.6770 0.9429
Zn10 0.2031 0.9429 0.6770
Zn11 0.2387 0.2387 0.5113
Zn12 0.2387 0.5113 0.2387
Zn13 0.2387 0.5113 0.5113
Zn14 0.3230 0.0571 0.3230
Zn15 0.3230 0.0571 0.7969
Zn16 0.3230 0.3230 0.0571
Zn17 0.3230 0.3230 0.7969
Zn18 0.3230 0.7969 0.0571
Zn19 0.3230 0.7969 0.3230
Zn20 0.4887 0.4887 0.7613
Zn21 0.4887 0.7613 0.4887
Zn22 0.4887 0.7613 0.7613
Zn23 0.5000 0.0000 0.0000
Zn24 0.5000 0.0000 0.5000
Zn25 0.5000 0.5000 0.0000
Zn26 0.5000 0.5000 0.5000
Zn27 0.5113 0.2387 0.2387
Zn28 0.5113 0.2387 0.5113
Zn29 0.5113 0.5113 0.2387
Zn30 0.6770 0.2031 0.6770
Zn31 0.6770 0.2031 0.9429
Zn32 0.6770 0.6770 0.2031
Zn33 0.6770 0.6770 0.9429
Zn34 0.6770 0.9429 0.2031
Zn35 0.6770 0.9429 0.6770
Zn36 0.7613 0.4887 0.4887
Zn37 0.7613 0.4887 0.7613
Zn38 0.7613 0.7613 0.4887
Zn39 0.7969 0.0571 0.3230
Zn40 0.7969 0.3230 0.0571
Zn41 0.7969 0.3230 0.3230
Zn42 0.9429 0.2031 0.6770
Zn43 0.9429 0.6770 0.2031
Zn44 0.9429 0.6770 0.6770

Largest 12 diffraction maxima, low angle first, 10 to 90 degrees two-theta:
| 2θ/deg | Rel. int. |
| --- | --- |
| 36.9 | 100 |
| 39.5 | 45 |
| 41.0 | 80 |
| 41.5 | 78 |
| 43.5 | 21 |
| 44.9 | 24 |
| 53.9 | 26 |
| 64.2 | 18 |
| 67.5 | 19 |
| 74.4 | 46 |
| 75.4 | 16 |
| 78.1 | 19 |